Starting from the PBE+U geometry in the Materials Project, the powder X-ray diffraction pattern of Ca2LaGaFe2O8 was calculated for Cu Kα (weighted mean of Kα1 and Kα2).

Cell and atoms:
```
data_Ca2LaGaFe2O8
_chemical_formula_sum 'Ca4 La2 Ga2 Fe4 O16'
_symmetry_space_group_name_H-M 'P 1 m 1'
_symmetry_Int_Tables_number 6
_cell_length_a 5.5336
_cell_length_b 11.3221
_cell_length_c 5.6276
_cell_angle_alpha 90.00
_cell_angle_beta 90.09
_cell_angle_gamma 90.00
loop_
_symmetry_equiv_pos_as_xyz
'x,y,z'
'x,-y,z'
loop_
_atom_site_label
_atom_site_fract_x
_atom_site_fract_y
_atom_site_fract_z
Ca1 0.0000 0.1862 0.0000
Ca2 0.4997 0.1858 0.4553
La1 0.0493 0.5000 0.9833
La2 0.5480 0.5000 0.4708
Ga1 0.5286 0.3251 0.9696
Fe1 0.0279 0.3242 0.4878
Fe2 0.4771 0.0000 0.9142
Fe3 0.9769 0.0000 0.5417
O1 0.0210 0.5000 0.5547
O2 0.0635 0.1431 0.3969
O3 0.1271 0.0000 0.8544
O4 0.2563 0.2986 0.7555
O5 0.3016 0.3535 0.2452
O6 0.5209 0.5000 0.8975
O7 0.5622 0.1436 0.0578
O8 0.6274 0.0000 0.6010
O9 0.7533 0.2986 0.7042
O10 0.7986 0.3533 0.2059
```

Most intense lines, 10 to 90 degrees two-theta, most intense first:
32.84 deg, intensity 100, (1 3 1); 46.00 deg, intensity 32, (2 0 2); 32.36 deg, intensity 31, (2 0 0); 31.80 deg, intensity 28, (0 0 2); 57.32 deg, intensity 20, (1 3 -3); 27.56 deg, intensity 17, (1 2 -1); 58.02 deg, intensity 17, (3 3 1); 48.23 deg, intensity 14, (0 6 0); 23.88 deg, intensity 14, (1 1 1); 39.17 deg, intensity 11, (1 4 1); 59.27 deg, intensity 10, (2 6 0); 58.93 deg, intensity 9, (0 6 2)



Starting from the PBE+U geometry in the Materials Project, the powder X-ray diffraction pattern of V3Fe2CoP6O24 was calculated for Cu Kα (weighted mean of Kα1 and Kα2).

Cell and atoms:
```
data_V3Fe2CoP6O24
_chemical_formula_sum 'V9 Fe6 Co3 P18 O72'
_symmetry_space_group_name_H-M 'R 3'
_symmetry_Int_Tables_number 146
_symmetry_space_group_name_Hall 'R 3'
_cell_length_a 8.5874
_cell_length_b 8.5874
_cell_length_c 20.6496
_cell_angle_alpha 90.00
_cell_angle_beta 90.00
_cell_angle_gamma 120.00
loop_
_atom_site_label
_atom_site_fract_x
_atom_site_fract_y
_atom_site_fract_z
V1 0.0000 0.0000 0.0000
V2 0.0000 0.0000 0.2163
V3 0.0000 0.0000 0.5014
Fe1 0.0000 0.0000 0.3572
Fe2 0.0000 0.0000 0.8569
Co1 0.0000 0.0000 0.7178
P1 0.9997 0.7064 0.1075
P2 0.0007 0.2876 0.6113
O1 0.0004 0.1900 0.5478
O2 0.0000 0.1912 0.6726
O3 0.0098 0.8091 0.1683
O4 0.0150 0.1858 0.2824
O5 0.0201 0.8379 0.7807
O6 0.1408 0.6676 0.7119
O7 0.1695 0.6839 0.1008
O8 0.1723 0.4799 0.6028
```

Most intense lines, 10 to 90 degrees two-theta, most intense first:
24.43 deg, intensity 100, (1 1 3); 20.69 deg, intensity 82, (1 1 0); 33.37 deg, intensity 64, (1 1 6); 36.24 deg, intensity 35, (3 0 0); 47.84 deg, intensity 33, (1 2 8); 50.08 deg, intensity 23, (4 -2 6); 56.72 deg, intensity 23, (4 1 0); 25.46 deg, intensity 19, (2 0 2); 32.14 deg, intensity 17, (2 1 1); 63.36 deg, intensity 17, (4 1 6); 57.17 deg, intensity 16, (3 1 8); 76.92 deg, intensity 10, (6 0 0)



Starting from the PBE+U geometry in the Materials Project, the powder X-ray diffraction pattern of MgTiV3O8 was calculated for Cu Kα (weighted mean of Kα1 and Kα2).

Cell and atoms:
```
data_MgTiV3O8
_chemical_formula_sum 'Mg2 Ti2 V6 O16'
_symmetry_space_group_name_H-M 'C 1 m 1'
_symmetry_Int_Tables_number 8
_cell_length_a 12.2591
_cell_length_b 3.9230
_cell_length_c 6.7521
_cell_angle_alpha 90.00
_cell_angle_beta 106.49
_cell_angle_gamma 90.00
loop_
_symmetry_equiv_pos_as_xyz
'x,y,z'
'x,-y,z'
'x+1/2,y+1/2,z'
'x+1/2,-y+1/2,z'
loop_
_atom_site_label
_atom_site_fract_x
_atom_site_fract_y
_atom_site_fract_z
Mg1 0.0000 0.0000 0.0000
Ti1 0.2960 0.5000 0.2754
V1 0.0021 0.5000 0.3256
V2 0.2103 0.5000 0.7019
V3 0.3999 0.0000 0.6956
O1 0.0382 0.5000 0.6322
O2 0.1714 0.5000 0.3883
O3 0.2320 0.5000 0.0133
O4 0.2470 0.0000 0.7132
O5 0.3364 0.0000 0.3603
O6 0.3862 0.5000 0.7112
O7 0.4649 0.5000 0.2740
O8 0.4825 0.0000 0.9930
```

Most intense lines, 10 to 90 degrees two-theta, most intense first:
23.91 deg, intensity 100, (1 1 0); 46.29 deg, intensity 66, (0 2 0); 41.86 deg, intensity 54, (0 0 3); 27.55 deg, intensity 49, (0 0 2); 15.07 deg, intensity 46, (2 0 0); 29.60 deg, intensity 45, (4 0 -1); 28.73 deg, intensity 41, (1 1 1); 13.68 deg, intensity 33, (0 0 1); 44.34 deg, intensity 32, (6 0 -1); 30.42 deg, intensity 29, (4 0 0); 27.42 deg, intensity 27, (2 0 -2); 57.66 deg, intensity 26, (7 1 -1)



Starting from the PBE+U geometry in the Materials Project, the powder X-ray diffraction pattern of Li4Fe3Co3O12 was calculated for Cu Kα (weighted mean of Kα1 and Kα2).

Cell and atoms:
```
data_Li4Fe3Co3O12
_chemical_formula_sum 'Li4 Fe3 Co3 O12'
_symmetry_space_group_name_H-M 'P -1'
_symmetry_Int_Tables_number 2
_cell_length_a 5.7266
_cell_length_b 5.9028
_cell_length_c 6.6099
_cell_angle_alpha 74.38
_cell_angle_beta 77.28
_cell_angle_gamma 88.98
loop_
_symmetry_equiv_pos_as_xyz
'x,y,z'
'-x,-y,-z'
loop_
_atom_site_label
_atom_site_fract_x
_atom_site_fract_y
_atom_site_fract_z
Li1 0.0000 0.0000 0.0000
Li2 0.1785 0.6525 0.3476
Li3 0.5000 0.0000 0.0000
Fe1 0.0000 0.5000 0.0000
Fe2 0.3358 0.8316 0.6645
Co1 0.1670 0.1669 0.3377
Co2 0.5000 0.5000 0.0000
O1 0.0806 0.6114 0.6720
O2 0.0818 0.0526 0.6531
O3 0.2537 0.2602 0.0294
O4 0.2602 0.7407 0.9819
O5 0.4103 0.9404 0.3534
O6 0.4174 0.3906 0.3107
```

Most intense lines, 10 to 90 degrees two-theta, most intense first:
18.08 deg, intensity 100, (0 1 1); 43.73 deg, intensity 38, (2 2 1); 36.55 deg, intensity 22, (0 1 -2); 44.51 deg, intensity 18, (2 -2 0); 37.00 deg, intensity 11, (2 -1 1); 38.25 deg, intensity 10, (2 0 2); 57.10 deg, intensity 10, (2 3 2); 63.06 deg, intensity 10, (-2 2 3); 48.04 deg, intensity 7, (0 3 0); 64.64 deg, intensity 5, (2 2 -2); 62.46 deg, intensity 5, (2 2 4); 65.17 deg, intensity 5, (4 0 1)



Starting from the PBE+U geometry in the Materials Project, the powder X-ray diffraction pattern of Li6Fe3Sb3O16 was calculated for Cu Kα (weighted mean of Kα1 and Kα2).

Cell and atoms:
```
data_Li6Fe3Sb3O16
_chemical_formula_sum 'Li12 Fe6 Sb6 O32'
_symmetry_space_group_name_H-M 'C 1 m 1'
_symmetry_Int_Tables_number 8
_cell_length_a 10.5155
_cell_length_b 6.1194
_cell_length_c 10.0401
_cell_angle_alpha 90.00
_cell_angle_beta 90.49
_cell_angle_gamma 90.00
loop_
_symmetry_equiv_pos_as_xyz
'x,y,z'
'x,-y,z'
'x+1/2,y+1/2,z'
'x+1/2,-y+1/2,z'
loop_
_atom_site_label
_atom_site_fract_x
_atom_site_fract_y
_atom_site_fract_z
Li1 0.0000 0.0000 0.0000
Li2 0.0020 0.0000 0.4945
Li3 0.1509 0.5000 0.4956
Li4 0.1662 0.5000 0.8846
Li5 0.3252 0.0000 0.3706
Li6 0.3280 0.0000 0.9966
Fe1 0.0756 0.2523 0.2118
Fe2 0.1606 0.0000 0.7133
Sb1 0.3223 0.5000 0.2101
Sb2 0.4078 0.2468 0.7108
O1 0.0110 0.5000 0.3086
O2 0.0652 0.2337 0.6049
O3 0.1438 0.0000 0.1172
O4 0.1656 0.5000 0.0937
O5 0.2307 0.2712 0.3178
O6 0.2542 0.2303 0.8203
O7 0.3277 0.0000 0.5956
O8 0.3375 0.5000 0.5997
O9 0.4197 0.2694 0.1049
O10 0.4812 0.0000 0.8223
O11 0.4843 0.5000 0.3175
O12 0.4899 0.5000 0.8186
```

Most intense lines, 10 to 90 degrees two-theta, most intense first:
17.67 deg, intensity 100, (0 0 2); 18.97 deg, intensity 38, (2 0 -1); 35.09 deg, intensity 33, (2 2 1); 43.55 deg, intensity 22, (4 0 -3); 38.54 deg, intensity 15, (2 2 2); 43.72 deg, intensity 15, (2 2 3); 57.51 deg, intensity 12, (2 2 -5); 60.92 deg, intensity 12, (6 2 0); 16.86 deg, intensity 11, (2 0 0); 34.34 deg, intensity 10, (3 1 -2); 19.12 deg, intensity 10, (2 0 1); 35.22 deg, intensity 8, (4 0 -1)



Starting from the PBE+U geometry in the Materials Project, the powder X-ray diffraction pattern of Li9Mn2Co5O16 was calculated for Cu Kα (weighted mean of Kα1 and Kα2).

Cell and atoms:
```
data_Li9Mn2Co5O16
_chemical_formula_sum 'Li18 Mn4 Co10 O32'
_symmetry_space_group_name_H-M 'C 1 m 1'
_symmetry_Int_Tables_number 8
_cell_length_a 21.2270
_cell_length_b 2.9242
_cell_length_c 10.2289
_cell_angle_alpha 90.00
_cell_angle_beta 114.06
_cell_angle_gamma 90.00
loop_
_symmetry_equiv_pos_as_xyz
'x,y,z'
'x,-y,z'
'x+1/2,y+1/2,z'
'x+1/2,-y+1/2,z'
loop_
_atom_site_label
_atom_site_fract_x
_atom_site_fract_y
_atom_site_fract_z
Li1 0.0000 0.0000 0.0000
Li2 0.0011 0.0000 0.4985
Li3 0.0039 0.5000 0.2552
Li4 0.2622 0.5000 0.6395
Li5 0.2629 0.5000 0.1387
Li6 0.2640 0.0000 0.8857
Li7 0.2689 0.0000 0.4003
Li8 0.3816 0.5000 0.5704
Li9 0.4987 0.0000 0.7484
Mn1 0.1319 0.0000 0.9450
Mn2 0.1332 0.0000 0.4457
Co1 0.1313 0.5000 0.6948
Co2 0.1337 0.5000 0.1965
Co3 0.3796 0.0000 0.8030
Co4 0.3841 0.0000 0.3342
Co5 0.3841 0.5000 0.0716
O1 0.0761 0.5000 0.9681
O2 0.0768 0.5000 0.4674
O3 0.0776 0.0000 0.7381
O4 0.0793 0.0000 0.2406
O5 0.1855 0.0000 0.6524
O6 0.1862 0.0000 0.1499
O7 0.1887 0.5000 0.9225
O8 0.1896 0.5000 0.4241
O9 0.3220 0.0000 0.6165
O10 0.3237 0.5000 0.3481
O11 0.3252 0.5000 0.8616
O12 0.3291 0.0000 0.1139
O13 0.4399 0.0000 0.0355
O14 0.4398 0.5000 0.2834
O15 0.4406 0.5000 0.7922
O16 0.4421 0.0000 0.5191
```

Most intense lines, 10 to 90 degrees two-theta, most intense first:
18.31 deg, intensity 100, (4 0 0); 43.41 deg, intensity 81, (7 1 -2); 35.89 deg, intensity 26, (3 1 -2); 63.13 deg, intensity 14, (5 1 -6); 63.01 deg, intensity 14, (9 1 2); 35.69 deg, intensity 13, (2 0 -4); 57.22 deg, intensity 10, (11 1 -2); 47.63 deg, intensity 9, (5 1 2); 37.15 deg, intensity 8, (8 0 0); 63.64 deg, intensity 8, (0 2 0); 62.50 deg, intensity 7, (14 0 -4); 37.57 deg, intensity 7, (1 1 2)